# AcNd15In4
Computed X-ray diffraction stick pattern, Cu Kα, 1.54184 Å. Input: a crystal structure in Alexandria, relaxed with GGA-PBE.
Lines closer than 0.1° are merged.

Top 10 peaks for 5° ≤ 2θ ≤ 70°, in order of rising 2θ:
2theta, Rel. int.
28.75, 2
30.63, 100
34.98, 16
35.78, 34
50.90, 21
51.50, 12
56.52, 2
60.05, 11
61.12, 28
63.76, 13

Structure:
Unit cell a=5.0192 b=5.0192 c=25.6521 alpha=90.00 beta=90.00 gamma=90.00
Fractional coordinates of all 20 atoms:
1 Ac 0.0000 0.0000 0.0000
2 Nd 0.0000 0.5000 0.1097
3 Nd 0.0000 0.5000 0.3052
4 Nd 0.0000 0.5000 0.5000
5 Nd 0.0000 0.5000 0.6948
6 Nd 0.0000 0.5000 0.8903
7 Nd 0.5000 0.0000 0.1097
8 Nd 0.5000 0.0000 0.3052
9 Nd 0.5000 0.0000 0.5000
10 Nd 0.5000 0.0000 0.6948
11 Nd 0.5000 0.0000 0.8903
12 Nd 0.5000 0.5000 0.0000
13 Nd 0.5000 0.5000 0.2088
14 Nd 0.5000 0.5000 0.4022
15 Nd 0.5000 0.5000 0.5978
16 Nd 0.5000 0.5000 0.7912
17 In 0.0000 0.0000 0.2078
18 In 0.0000 0.0000 0.4028
19 In 0.0000 0.0000 0.5972
20 In 0.0000 0.0000 0.7922



# AcNd8In6
Computed X-ray diffraction stick pattern, Cu Kα, 1.54184 Å. Input: a crystal structure in Alexandria, relaxed with GGA-PBE.
Lines closer than 0.1° are merged.

Top 10 peaks for 5° ≤ 2θ ≤ 70°, in order of rising 2θ:
2theta, Rel. int.
13.37, 9
23.17, 38
32.94, 98
33.06, 100
40.66, 9
47.36, 36
58.87, 55
59.13, 18
69.08, 11
69.37, 11

Structure:
Unit cell a=8.5714 b=8.5714 c=8.5714 alpha=66.67 beta=66.67 gamma=66.67
Fractional coordinates of all 15 atoms:
1 Ac 0.0000 0.0000 0.0000
2 Nd 0.1165 0.4438 0.7845
3 Nd 0.2155 0.8835 0.5562
4 Nd 0.3317 0.3317 0.3317
5 Nd 0.4438 0.7845 0.1165
6 Nd 0.5562 0.2155 0.8835
7 Nd 0.6683 0.6683 0.6683
8 Nd 0.7845 0.1165 0.4438
9 Nd 0.8835 0.5562 0.2155
10 In 0.0565 0.7120 0.3990
11 In 0.2880 0.6010 0.9435
12 In 0.3990 0.0565 0.7120
13 In 0.6010 0.9435 0.2880
14 In 0.7120 0.3990 0.0565
15 In 0.9435 0.2880 0.6010



# AcNdIn
Computed X-ray diffraction stick pattern, Cu Kα, 1.54184 Å. Input: a crystal structure in Alexandria, relaxed with GGA-PBE.
Lines closer than 0.1° are merged.

Top 10 peaks for 5° ≤ 2θ ≤ 70°, in order of rising 2θ:
2theta, Rel. int.
25.16, 19
27.25, 100
31.08, 19
32.72, 54
35.88, 47
45.66, 18
48.19, 23
51.69, 28
59.37, 19
62.50, 17

Structure:
Unit cell a=5.0052 b=5.0052 c=8.6314 alpha=90.00 beta=90.00 gamma=90.00
Fractional coordinates of all 6 atoms:
1 Ac 0.2500 0.2500 0.1474
2 Ac 0.7500 0.7500 0.8526
3 Nd 0.2500 0.7500 0.5000
4 Nd 0.7500 0.2500 0.5000
5 In 0.2500 0.2500 0.7548
6 In 0.7500 0.7500 0.2452



# AcNd12In6
Computed X-ray diffraction stick pattern, Cu Kα, 1.54184 Å. Input: a crystal structure in Alexandria, relaxed with GGA-PBE.
Lines closer than 0.1° are merged.

Top 10 peaks for 5° ≤ 2θ ≤ 70°, in order of rising 2θ:
2theta, Rel. int.
23.64, 34
29.51, 18
31.11, 68
31.65, 90
31.93, 75
33.22, 45
33.61, 100
35.16, 21
56.42, 18
59.04, 22

Structure:
Unit cell a=8.4828 b=8.4828 c=8.4828 alpha=88.90 beta=88.90 gamma=88.90
Fractional coordinates of all 19 atoms:
1 Ac 0.0000 0.0000 0.0000
2 Nd 0.0828 0.1232 0.3915
3 Nd 0.1232 0.3915 0.0828
4 Nd 0.1926 0.4684 0.5710
5 Nd 0.3915 0.0828 0.1232
6 Nd 0.4290 0.8074 0.5316
7 Nd 0.4684 0.5710 0.1926
8 Nd 0.5316 0.4290 0.8074
9 Nd 0.5710 0.1926 0.4684
10 Nd 0.6085 0.9172 0.8768
11 Nd 0.8074 0.5316 0.4290
12 Nd 0.8768 0.6085 0.9172
13 Nd 0.9172 0.8768 0.6085
14 In 0.1235 0.7394 0.2874
15 In 0.2606 0.7126 0.8765
16 In 0.2874 0.1235 0.7394
17 In 0.7126 0.8765 0.2606
18 In 0.7394 0.2874 0.1235
19 In 0.8765 0.2606 0.7126



# Ac2NdInO6
Computed X-ray diffraction stick pattern, Cu Kα, 1.54184 Å. Input: a crystal structure in Alexandria, relaxed with GGA-PBE.
Lines closer than 0.1° are merged.

Top 10 peaks for 5° ≤ 2θ ≤ 70°, in order of rising 2θ:
2theta, Rel. int.
28.62, 42
28.89, 100
29.17, 98
29.63, 46
41.39, 24
41.66, 38
47.40, 18
51.07, 34
51.94, 22
52.45, 25

Structure:
Unit cell a=6.0313 b=6.2389 c=10.5443 alpha=90.00 beta=124.14 gamma=90.00
Fractional coordinates of all 20 atoms:
1 Ac 0.2327 0.0510 0.2493
2 Ac 0.2327 0.4490 0.7493
3 Ac 0.7673 0.5510 0.2507
4 Ac 0.7673 0.9490 0.7507
5 Nd 0.5000 0.0000 0.0000
6 Nd 0.5000 0.5000 0.5000
7 In 0.0000 0.0000 0.5000
8 In 0.0000 0.5000 0.0000
9 O 0.1229 0.2062 0.9342
10 O 0.1229 0.2938 0.4342
11 O 0.2283 0.6934 0.9361
12 O 0.2283 0.8066 0.4361
13 O 0.3624 0.0533 0.7416
14 O 0.3624 0.4467 0.2416
15 O 0.6376 0.5533 0.7584
16 O 0.6376 0.9467 0.2584
17 O 0.7717 0.1934 0.5639
18 O 0.7717 0.3066 0.0639
19 O 0.8771 0.7062 0.5658
20 O 0.8771 0.7938 0.0658



# Ac3Nd3In2Sn
Computed X-ray diffraction stick pattern, Cu Kα, 1.54184 Å. Input: a crystal structure in Alexandria, relaxed with GGA-PBE.
Lines closer than 0.1° are merged.

Top 10 peaks for 5° ≤ 2θ ≤ 70°, in order of rising 2θ:
2theta, Rel. int.
28.20, 100
29.90, 37
30.43, 51
34.01, 50
36.37, 23
41.14, 28
51.68, 17
54.40, 26
54.75, 33
69.58, 12

Structure:
Unit cell a=9.1304 b=9.1304 c=4.3891 alpha=90.00 beta=90.00 gamma=120.00
Fractional coordinates of all 9 atoms:
1 Ac 0.0000 0.7232 0.0000
2 Ac 0.2768 0.2768 0.0000
3 Ac 0.7232 0.0000 0.0000
4 Nd 0.0000 0.3946 0.5000
5 Nd 0.3946 0.0000 0.5000
6 Nd 0.6054 0.6054 0.5000
7 In 0.3333 0.6667 0.0000
8 In 0.6667 0.3333 0.0000
9 Sn 0.0000 0.0000 0.5000



# Ac8In3Ni
Computed X-ray diffraction stick pattern, Cu Kα, 1.54184 Å. Input: a crystal structure in Alexandria, relaxed with GGA-PBE.
Lines closer than 0.1° are merged.

Top 10 peaks for 5° ≤ 2θ ≤ 70°, in order of rising 2θ:
2theta, Rel. int.
19.61, 9
22.68, 46
32.28, 100
38.05, 5
39.82, 14
46.31, 18
50.74, 2
52.16, 18
57.57, 36
67.57, 11

Structure:
Unit cell a=9.5993 b=9.5993 c=9.5993 alpha=131.74 beta=131.74 gamma=70.63
Fractional coordinates of all 12 atoms:
1 Ac 0.1181 0.1181 0.4738
2 Ac 0.1181 0.6443 0.0000
3 Ac 0.3557 0.3557 0.4738
4 Ac 0.3557 0.8819 0.0000
5 Ac 0.6443 0.1181 0.0000
6 Ac 0.6443 0.6443 0.5262
7 Ac 0.8819 0.3557 0.0000
8 Ac 0.8819 0.8819 0.5262
9 In 0.2500 0.7500 0.5000
10 In 0.5000 0.5000 0.0000
11 In 0.7500 0.2500 0.5000
12 Ni 0.0000 0.0000 0.0000



# Ac2In5Ni3
Computed X-ray diffraction stick pattern, Cu Kα, 1.54184 Å. Input: a crystal structure in Alexandria, relaxed with GGA-PBE.
Lines closer than 0.1° are merged.

Top 10 peaks for 5° ≤ 2θ ≤ 70°, in order of rising 2θ:
2theta, Rel. int.
31.04, 56
32.47, 85
32.75, 100
35.48, 34
35.96, 24
39.56, 48
41.31, 28
54.18, 20
58.52, 20
67.49, 24

Structure:
Unit cell a=13.6278 b=13.6278 c=7.5129 alpha=90.00 beta=90.00 gamma=160.75
Fractional coordinates of all 20 atoms:
1 Ac 0.0298 0.9702 0.5000
2 Ac 0.3258 0.6742 0.4093
3 Ac 0.6742 0.3258 0.9093
4 Ac 0.9702 0.0298 0.0000
5 In 0.0949 0.9051 0.1071
6 In 0.2048 0.7952 0.5986
7 In 0.2116 0.7884 0.2064
8 In 0.3698 0.6302 0.9348
9 In 0.4487 0.5513 0.3349
10 In 0.5513 0.4487 0.8349
11 In 0.6302 0.3698 0.4348
12 In 0.7884 0.2116 0.7064
13 In 0.7952 0.2048 0.0986
14 In 0.9051 0.0949 0.6071
15 Ni 0.1103 0.8897 0.7439
16 Ni 0.2690 0.7310 0.9005
17 Ni 0.4527 0.5473 0.7080
18 Ni 0.5473 0.4527 0.2080
19 Ni 0.7310 0.2690 0.4005
20 Ni 0.8897 0.1103 0.2439



# Ac12InNi6
Computed X-ray diffraction stick pattern, Cu Kα, 1.54184 Å. Input: a crystal structure in Alexandria, relaxed with GGA-PBE.
Lines closer than 0.1° are merged.

Top 10 peaks for 5° ≤ 2θ ≤ 70°, in order of rising 2θ:
2theta, Rel. int.
23.52, 11
26.34, 70
28.90, 33
31.28, 100
43.11, 21
49.68, 45
51.22, 18
52.73, 36
58.50, 12
61.25, 16

Structure:
Unit cell a=9.2671 b=9.2671 c=9.2671 alpha=109.47 beta=109.47 gamma=109.47
Fractional coordinates of all 19 atoms:
1 Ac 0.1302 0.8182 0.3120
2 Ac 0.1818 0.3120 0.4937
3 Ac 0.1818 0.6881 0.8698
4 Ac 0.3120 0.1302 0.8182
5 Ac 0.3120 0.4937 0.1818
6 Ac 0.4937 0.1818 0.3120
7 Ac 0.5063 0.8182 0.6881
8 Ac 0.6881 0.5063 0.8182
9 Ac 0.6881 0.8698 0.1818
10 Ac 0.8182 0.3120 0.1302
11 Ac 0.8182 0.6881 0.5063
12 Ac 0.8698 0.1818 0.6881
13 In 0.0000 0.0000 0.0000
14 Ni 0.1176 0.6176 0.5000
15 Ni 0.3824 0.5000 0.8824
16 Ni 0.5000 0.1176 0.6176
17 Ni 0.5000 0.8824 0.3824
18 Ni 0.6176 0.5000 0.1176
19 Ni 0.8824 0.3824 0.5000



# AcIn2Ni9
Computed X-ray diffraction stick pattern, Cu Kα, 1.54184 Å. Input: a crystal structure in Alexandria, relaxed with GGA-PBE.
Lines closer than 0.1° are merged.

Top 10 peaks for 5° ≤ 2θ ≤ 70°, in order of rising 2θ:
2theta, Rel. int.
27.96, 20
33.69, 33
35.30, 28
38.51, 100
42.72, 30
42.93, 31
44.12, 54
44.40, 24
48.37, 24
67.27, 19

Structure:
Unit cell a=8.4131 b=8.4131 c=4.8992 alpha=90.00 beta=90.00 gamma=90.00
Fractional coordinates of all 24 atoms:
1 Ac 0.0000 0.0000 0.0000
2 Ac 0.5000 0.5000 0.0000
3 In 0.1226 0.3774 0.0000
4 In 0.3774 0.8774 0.0000
5 In 0.6226 0.1226 0.0000
6 In 0.8774 0.6226 0.0000
7 Ni 0.0000 0.5000 0.5000
8 Ni 0.0679 0.2136 0.5000
9 Ni 0.1757 0.6757 0.2514
10 Ni 0.1757 0.6757 0.7486
11 Ni 0.2136 0.9321 0.5000
12 Ni 0.2864 0.4321 0.5000
13 Ni 0.3243 0.1757 0.2514
14 Ni 0.3243 0.1757 0.7486
15 Ni 0.4321 0.7136 0.5000
16 Ni 0.5000 0.0000 0.5000
17 Ni 0.5679 0.2864 0.5000
18 Ni 0.6757 0.8243 0.2514
19 Ni 0.6757 0.8243 0.7486
20 Ni 0.7136 0.5679 0.5000
21 Ni 0.7864 0.0679 0.5000
22 Ni 0.8243 0.3243 0.2514
23 Ni 0.8243 0.3243 0.7486
24 Ni 0.9321 0.7864 0.5000



# Ac8In2Ni
Computed X-ray diffraction stick pattern, Cu Kα, 1.54184 Å. Input: a crystal structure in Alexandria, relaxed with GGA-PBE.
Lines closer than 0.1° are merged.

Top 10 peaks for 5° ≤ 2θ ≤ 70°, in order of rising 2θ:
2theta, Rel. int.
24.97, 28
27.55, 24
27.78, 100
28.41, 93
29.35, 40
30.30, 19
31.24, 41
32.97, 58
46.05, 22
53.92, 21

Structure:
Unit cell a=10.3941 b=10.3941 c=7.7172 alpha=96.99 beta=96.99 gamma=30.30
Fractional coordinates of all 11 atoms:
1 Ac 0.0098 0.0098 0.2718
2 Ac 0.2121 0.2121 0.8108
3 Ac 0.3600 0.3600 0.5057
4 Ac 0.4048 0.4048 0.0176
5 Ac 0.5952 0.5952 0.9824
6 Ac 0.6400 0.6400 0.4943
7 Ac 0.7879 0.7879 0.1892
8 Ac 0.9902 0.9902 0.7282
9 In 0.1864 0.1864 0.2577
10 In 0.8136 0.8136 0.7423
11 Ni 0.5000 0.5000 0.5000